This entry pairs a crystal structure of DyYO3 with its theoretical powder X-ray diffraction pattern. Radiation: Cu Kα X-rays. Structure: the GGA-PBE geometry in Alexandria.
Neutral-atom scattering factors, no anomalous dispersion.

Largest 10 diffraction maxima, sorted by position, 10 to 80 degrees two-theta:
2theta, I/Imax
21.14, 17
29.41, 100
30.72, 94
35.56, 14
43.04, 42
47.55, 31
53.80, 41
54.61, 29
63.93, 23
71.95, 15

Crystal structure
abc: 6.086 6.086 6.086
angles: 57.14 57.14 57.14
Positions (direct):
Dy (0.142, 0.142, 0.142)
Dy (0.858, 0.858, 0.858)
Y (0.358, 0.358, 0.358)
Y (0.642, 0.642, 0.642)
O (0.043, 0.751, 0.457)
O (0.249, 0.543, 0.957)
O (0.457, 0.043, 0.751)
O (0.543, 0.957, 0.249)
O (0.751, 0.457, 0.043)
O (0.957, 0.249, 0.543)